(1)
Diffraction record for Sr2Ga5Ag5. The X-ray powder pattern is computed, not measured: it uses a cell relaxed with GGA-PBE and Cu Kα.
Neutral-atom scattering factors, no anomalous dispersion.

Atomic structure:
Unit cell a=4.499 b=5.635 c=9.957 alpha=90.00 beta=90.00 gamma=90.00
Space group Pmmm (No. 47)
Symmetry-distinct sites (fractional):
Sr 0.000 0.000 0.000 x1
Sr 0.000 0.500 0.500 x1
Ga 0.500 0.000 0.500 x1
Ga 0.500 0.247 0.248 x4
Ag 0.000 0.000 0.333 x2
Ag 0.000 0.500 0.178 x2
Ag 0.500 0.500 0.000 x1

Peak list (10 most intense, 10 to 90 degrees two-theta, in order of falling intensity)
hkl 1 1 3, 2θ 37.26, I 100.0; hkl 1 2 0, 2θ 37.67, I 40.1; hkl 2 0 0, 2θ 40.09, I 38.1; hkl 1 2 2, 2θ 41.96, I 33.4; hkl 0 1 3, 2θ 31.28, I 23.5; hkl 0 1 1, 2θ 18.09, I 23.3; hkl 1 3 3, 2θ 60.24, I 23.2; hkl 2 2 6, 2θ 79.42, I 18.6; hkl 0 2 6, 2θ 65.25, I 16.4; hkl 0 2 0, 2θ 31.76, I 16.0

***

(2)
Diffraction record for Cd5In3Ga3. The X-ray powder pattern is computed, not measured: it uses a cell relaxed with GGA-PBE and Cu Kα.
Neutral-atom scattering factors, no anomalous dispersion.

Atomic structure:
Unit cell a=9.8469 b=9.8469 c=3.2156 alpha=90.00 beta=90.00 gamma=120.00
Space group P-62m (No. 189)
Symmetry-distinct sites (fractional):
Cd 0.0000 0.3338 0.0000 x3
Cd 0.3333 0.6667 0.0000 x2
In 0.0000 0.5951 0.5000 x3
Ga 0.0000 0.8385 0.0000 x3

Peak list (10 most intense, 10 to 90 degrees two-theta, in order of falling intensity)
hkl 1 1 1, 2θ 33.28, I 100.0; hkl 3 0 0, 2θ 31.47, I 88.6; hkl 3 1 0, 2θ 38.05, I 64.1; hkl 2 2 1, 2θ 46.45, I 53.8; hkl 0 0 1, 2θ 27.70, I 43.0; hkl 2 1 1, 2θ 39.59, I 42.8; hkl 2 0 1, 2θ 34.95, I 28.2; hkl 6 0 1, 2θ 72.74, I 27.4; hkl 3 2 1, 2θ 54.94, I 25.8; hkl 3 0 1, 2θ 42.44, I 21.9

***

(3)
Diffraction record for Dy8AlCu2. The X-ray powder pattern is computed, not measured: it uses a cell relaxed with GGA-PBE and Cu Kα.
Neutral-atom scattering factors, no anomalous dispersion.

Atomic structure:
Unit cell a=8.623 b=13.549 c=5.310 alpha=90.00 beta=107.10 gamma=90.00
Space group Cm (No. 8)
Symmetry-distinct sites (fractional):
Dy 0.000 0.000 0.000 x2
Dy 0.093 0.377 0.779 x4
Dy 0.184 0.123 0.604 x4
Dy 0.277 0.500 0.383 x2
Dy 0.389 0.236 0.192 x4
Al 0.388 0.000 0.192 x2
Cu 0.388 0.308 0.691 x4

Peak list (10 most intense, 10 to 90 degrees two-theta, in order of falling intensity)
hkl 2 0 1, 2θ 31.75, I 100.0; hkl 2 4 0, 2θ 34.27, I 44.0; hkl 3 1 -1, 2θ 32.86, I 43.1; hkl 1 1 -2, 2θ 34.43, I 31.2; hkl 1 5 -1, 2θ 37.70, I 22.6; hkl 1 3 1, 2θ 30.53, I 22.4; hkl 2 2 -1, 2θ 26.95, I 19.1; hkl 2 2 -2, 2θ 38.15, I 15.5; hkl 2 4 2, 2θ 54.91, I 15.1; hkl 2 8 1, 2θ 64.15, I 15.0

***

(4)
Diffraction record for Tm2SiPPt6. The X-ray powder pattern is computed, not measured: it uses a cell relaxed with GGA-PBE and Cu Kα.
Neutral-atom scattering factors, no anomalous dispersion.

Atomic structure:
Unit cell a=5.519 b=8.336 c=8.152 alpha=90.00 beta=90.00 gamma=90.00
Space group Pmmn (No. 59, origin choice 2)
Symmetry-distinct sites (fractional):
Tm 0.250 0.011 0.233 x4
Si 0.250 0.750 0.769 x2
P 0.250 0.250 0.764 x2
Pt 0.002 0.250 0.484 x4
Pt 0.002 0.750 0.008 x4
Pt 0.250 0.006 0.630 x4

Peak list (10 most intense, 10 to 90 degrees two-theta, in order of falling intensity)
hkl 0 2 2, 2θ 30.68, I 100.0; hkl 2 2 0, 2θ 39.15, I 97.9; hkl 2 0 2, 2θ 39.43, I 63.6; hkl 0 4 0, 2θ 43.42, I 41.6; hkl 2 4 2, 2θ 60.09, I 36.7; hkl 1 2 2, 2θ 34.81, I 28.1; hkl 1 2 3, 2θ 42.98, I 28.0; hkl 0 0 1, 2θ 10.85, I 23.8; hkl 1 0 2, 2θ 27.20, I 23.8; hkl 0 2 4, 2θ 49.80, I 17.7

***

(5)
Diffraction record for NbHgSe4. The X-ray powder pattern is computed, not measured: it uses a cell relaxed with GGA-PBE and Cu Kα.
Neutral-atom scattering factors, no anomalous dispersion.

Atomic structure:
Unit cell a=6.612 b=7.609 c=7.799 alpha=104.07 beta=106.02 gamma=99.63
Space group P-1 (No. 2)
Symmetry-distinct sites (fractional):
Nb 0.229 0.000 0.000 x2
Hg 0.259 0.451 0.563 x2
Se 0.039 0.849 0.208 x2
Se 0.099 0.303 0.123 x2
Se 0.387 0.914 0.706 x2
Se 0.489 0.774 0.098 x2

Peak list (10 most intense, 10 to 90 degrees two-theta, in order of falling intensity)
hkl 0 1 -1, 2θ 14.62, I 100.0; hkl 0 1 1, 2θ 20.09, I 91.4; hkl 2 0 -1, 2θ 27.52, I 62.0; hkl 0 2 2, 2θ 40.83, I 54.8; hkl 1 -1 2, 2θ 30.88, I 41.5; hkl 1 1 -3, 2θ 35.09, I 40.0; hkl 1 2 -1, 2θ 29.39, I 39.7; hkl 2 -2 0, 2θ 33.32, I 39.3; hkl 0 2 -1, 2θ 24.23, I 37.0; hkl 1 -2 0, 2θ 25.49, I 34.8

***

(6)
Diffraction record for Pm2YAu3. The X-ray powder pattern is computed, not measured: it uses a cell relaxed with GGA-PBE and Cu Kα.
Neutral-atom scattering factors, no anomalous dispersion.

Atomic structure:
Unit cell a=5.183 b=15.636 c=3.644 alpha=90.00 beta=90.00 gamma=90.00
Space group Pmmn (No. 59, origin choice 2)
Symmetry-distinct sites (fractional):
Pm 0.250 0.083 0.001 x4
Y 0.250 0.750 0.999 x2
Au 0.250 0.250 0.500 x2
Au 0.250 0.590 0.498 x4

Peak list (10 most intense, 10 to 90 degrees two-theta, in order of falling intensity)
hkl 2 0 0, 2θ 34.65, I 100.0; hkl 0 6 0, 2θ 34.41, I 20.0; hkl 3 3 1, 2θ 62.06, I 14.9; hkl 1 9 1, 2θ 61.81, I 14.4; hkl 2 6 0, 2θ 49.61, I 14.3; hkl 4 6 0, 2θ 83.22, I 9.7; hkl 2 6 2, 2θ 73.15, I 9.1; hkl 2 0 2, 2θ 62.29, I 7.4; hkl 0 6 2, 2θ 62.17, I 7.3; hkl 0 0 2, 2θ 50.07, I 7.1

***

(7)
Diffraction record for Ca3LaCd4. The X-ray powder pattern is computed, not measured: it uses a cell relaxed with GGA-PBE and Cu Kα.
Neutral-atom scattering factors, no anomalous dispersion.

Atomic structure:
Unit cell a=5.4609 b=5.4609 c=26.8937 alpha=90.00 beta=90.00 gamma=120.00
Space group R-3m (No. 166, hexagonal axes)
Symmetry-distinct sites (fractional):
Ca 0.0000 0.0000 0.0000 x3
Ca 0.0000 0.0000 0.2515 x6
La 0.0000 0.0000 0.5000 x3
Cd 0.0000 0.0000 0.1236 x6
Cd 0.0000 0.0000 0.3744 x6

Peak list (10 most intense, 10 to 90 degrees two-theta, in order of falling intensity)
hkl 0 1 8, 2θ 32.68, I 100.0; hkl 1 1 0, 2θ 32.80, I 99.3; hkl 3 0 0, 2θ 58.50, I 52.9; hkl 2 0 8, 2θ 46.98, I 35.0; hkl 1 0 16, 2θ 58.25, I 17.7; hkl 1 0 4, 2θ 22.99, I 17.4; hkl 3 1 8, 2θ 78.23, I 14.6; hkl 2 1 16, 2θ 78.04, I 14.6; hkl 0 2 16, 2θ 68.49, I 10.7; hkl 2 2 0, 2θ 68.76, I 10.6

***

(8)
Diffraction record for Th2Ga3Pd2. The X-ray powder pattern is computed, not measured: it uses a cell relaxed with GGA-PBE and Cu Kα.
Neutral-atom scattering factors, no anomalous dispersion.

Atomic structure:
Unit cell a=4.253 b=18.918 c=7.274 alpha=90.00 beta=90.00 gamma=90.00
Space group Cmcm (No. 63)
Symmetry-distinct sites (fractional):
Th 0.000 0.054 0.250 x4
Th 0.000 0.159 0.750 x4
Ga 0.000 0.219 0.250 x4
Ga 0.000 0.441 0.073 x8
Pd 0.000 0.307 0.547 x8

Peak list (10 most intense, 10 to 90 degrees two-theta, in order of falling intensity)
hkl 1 5 1, 2θ 34.02, I 100.0; hkl 1 1 2, 2θ 32.74, I 87.6; hkl 0 4 3, 2θ 41.87, I 38.4; hkl 2 0 0, 2θ 42.51, I 34.5; hkl 2 4 3, 2θ 61.19, I 25.2; hkl 0 6 1, 2θ 30.91, I 23.0; hkl 0 8 0, 2θ 38.05, I 20.8; hkl 1 3 2, 2θ 35.46, I 20.4; hkl 0 4 1, 2θ 22.42, I 19.2; hkl 1 9 2, 2θ 54.87, I 18.1